(1)
For Li2Zn3Ag2, the GGA-PBE geometry in Alexandria gives the computed powder diffractogram in this record (Cu Kα (weighted mean of Kα1 and Kα2)).

Structural model:
```
data_Li2Zn3Ag2
_space_group_name_H-M_alt 'P 1'
_space_group_IT_number 1
_space_group_name_Hall 'P 1'
_cell_length_a 9.3908
_cell_length_b 4.4286
_cell_length_c 5.2477
_cell_angle_alpha 90.00
_cell_angle_beta 95.40
_cell_angle_gamma 90.00
loop_
_atom_site_label
_atom_site_type_symbol
_atom_site_fract_x
_atom_site_fract_y
_atom_site_fract_z
Li1 Li 0.2139 0.0000 0.3409
Li2 Li 0.2861 0.5000 0.6591
Li3 Li 0.7139 0.5000 0.3409
Li4 Li 0.7861 0.0000 0.6591
Zn1 Zn 0.0000 0.5000 0.5000
Zn2 Zn 0.1358 0.5000 0.0795
Zn3 Zn 0.3642 0.0000 0.9205
Zn4 Zn 0.5000 0.0000 0.5000
Zn5 Zn 0.6358 0.0000 0.0795
Zn6 Zn 0.8642 0.5000 0.9205
Ag1 Ag 0.0804 0.0000 0.7771
Ag2 Ag 0.4196 0.5000 0.2229
Ag3 Ag 0.5804 0.5000 0.7771
Ag4 Ag 0.9196 0.0000 0.2229
```

Peak list (10 most intense, 2θ from 10° to 90°, in order of falling intensity)
Position (°2θ)  Rel. int.
40.51  100
40.77  48
18.98  23
74.00  22
28.64  19
24.33  16
59.02  15
27.52  12
16.97  8
58.25  8

(2)
For HoTm6Th12, the GGA-PBE geometry in Alexandria gives the computed powder diffractogram in this record (Cu Kα (weighted mean of Kα1 and Kα2)).

Structural model:
```
data_HoTm6Th12
_space_group_name_H-M_alt 'P 1'
_space_group_IT_number 1
_space_group_name_Hall 'P 1'
_cell_length_a 8.6931
_cell_length_b 8.6931
_cell_length_c 8.6931
_cell_angle_alpha 99.66
_cell_angle_beta 99.66
_cell_angle_gamma 99.66
loop_
_atom_site_label
_atom_site_type_symbol
_atom_site_fract_x
_atom_site_fract_y
_atom_site_fract_z
Ho1 Ho 0.0000 0.0000 0.0000
Tm1 Tm 0.0990 0.0990 0.6627
Tm2 Tm 0.0990 0.6627 0.0990
Tm3 Tm 0.3373 0.9010 0.9010
Tm4 Tm 0.6627 0.0990 0.0990
Tm5 Tm 0.9010 0.3373 0.9010
Tm6 Tm 0.9010 0.9010 0.3373
Th1 Th 0.0828 0.3489 0.3489
Th2 Th 0.2459 0.5000 0.7541
Th3 Th 0.2459 0.7541 0.5000
Th4 Th 0.3489 0.0828 0.3489
Th5 Th 0.3489 0.3489 0.0828
Th6 Th 0.5000 0.2459 0.7541
Th7 Th 0.5000 0.7541 0.2459
Th8 Th 0.6511 0.6511 0.9172
Th9 Th 0.6511 0.9172 0.6511
Th10 Th 0.7541 0.2459 0.5000
Th11 Th 0.7541 0.5000 0.2459
Th12 Th 0.9172 0.6511 0.6511
```

Peak list (10 most intense, 2θ from 10° to 90°, in order of falling intensity)
Position (°2θ)  Rel. int.
31.97  100
31.60  33
30.15  30
34.43  26
34.78  26
55.32  16
50.55  15
57.21  15
65.35  14
58.13  13

(3)
For La2PmPrY2, the GGA-PBE geometry in Alexandria gives the computed powder diffractogram in this record (Cu Kα (weighted mean of Kα1 and Kα2)).

Structural model:
```
data_La2PmPrY2
_space_group_name_H-M_alt 'P 1'
_space_group_IT_number 1
_space_group_name_Hall 'P 1'
_cell_length_a 6.6625
_cell_length_b 18.6524
_cell_length_c 3.4571
_cell_angle_alpha 90.00
_cell_angle_beta 90.00
_cell_angle_gamma 90.00
loop_
_atom_site_label
_atom_site_type_symbol
_atom_site_fract_x
_atom_site_fract_y
_atom_site_fract_z
La1 La 0.2167 0.1886 0.0000
La2 La 0.2833 0.6886 0.5000
La3 La 0.7167 0.3114 0.5000
La4 La 0.7833 0.8114 0.0000
Pm1 Pm 0.0000 0.5000 0.0000
Pm2 Pm 0.5000 0.0000 0.5000
Pr1 Pr 0.0000 0.0000 0.0000
Pr2 Pr 0.5000 0.5000 0.5000
Y1 Y 0.2136 0.3547 0.5000
Y2 Y 0.2864 0.8547 0.0000
Y3 Y 0.7136 0.1453 0.0000
Y4 Y 0.7864 0.6453 0.5000
```

Peak list (10 most intense, 2θ from 10° to 90°, in order of falling intensity)
Position (°2θ)  Rel. int.
28.45  100
29.56  71
28.72  68
35.00  47
33.05  47
30.67  42
40.30  42
63.85  39
29.10  34
61.23  31

(4)
For ReRu2Pt, the GGA-PBE geometry in Alexandria gives the computed powder diffractogram in this record (Cu Kα (weighted mean of Kα1 and Kα2)).

Structural model:
```
data_ReRu2Pt
_space_group_name_H-M_alt 'P 1'
_space_group_IT_number 1
_space_group_name_Hall 'P 1'
_cell_length_a 2.7389
_cell_length_b 2.7389
_cell_length_c 7.7831
_cell_angle_alpha 90.00
_cell_angle_beta 90.00
_cell_angle_gamma 90.00
loop_
_atom_site_label
_atom_site_type_symbol
_atom_site_fract_x
_atom_site_fract_y
_atom_site_fract_z
Re1 Re 0.0000 0.0000 0.0000
Ru1 Ru 0.5000 0.5000 0.2416
Ru2 Ru 0.5000 0.5000 0.7584
Pt1 Pt 0.0000 0.0000 0.5000
```

Peak list (10 most intense, 2θ from 10° to 90°, in order of falling intensity)
Position (°2θ)  Rel. int.
40.27  100
46.91  32
82.57  25
68.34  21
46.68  16
82.23  12
87.01  11
68.52  10
22.85  9
32.70  7

- What is the formula in the fourth record?
  ReRu2Pt